[1]
Computed powder diffractogram
Compound: NaIn2Hg
Radiation: Cu Kα (weighted mean of Kα1 and Kα2)
Structure: a cell relaxed with PBE
Intensities are scaled so that the largest is 100.

Structural model:
```
NaIn2Hg
1.0
6.471 0.000 0.000
0.000 9.861 0.000
0.000 0.000 6.475
Na In Hg
4 8 4
Direct
0.000 0.250 0.001 Na
0.000 0.750 0.999 Na
0.500 0.250 0.499 Na
0.500 0.750 0.501 Na
0.212 0.000 0.289 In
0.212 0.500 0.289 In
0.288 0.000 0.789 In
0.288 0.500 0.789 In
0.712 0.000 0.211 In
0.712 0.500 0.211 In
0.788 0.000 0.711 In
0.788 0.500 0.711 In
0.001 0.250 0.501 Hg
0.499 0.750 0.001 Hg
0.501 0.250 0.999 Hg
0.999 0.750 0.499 Hg
```

Most intense lines, 2θ = 10–90°, in order of falling intensity:
2theta, Rel. int.
33.1, 100.0
19.4, 34.6
39.4, 27.9
26.6, 24.3
36.4, 21.8
54.7, 21.1
48.1, 17.4
67.4, 15.9
63.5, 15.0
41.6, 10.4

[2]
Computed powder diffractogram
Compound: Na3In8Hg
Radiation: Cu Kα (weighted mean of Kα1 and Kα2)
Structure: a cell relaxed with PBE
Intensities are scaled so that the largest is 100.

Structural model:
```
Na3In8Hg
1.0
6.297 0.000 0.000
-3.148 5.453 0.000
0.000 0.000 9.857
Na In Hg
3 8 1
Direct
0.000 0.000 0.000 Na
0.000 0.000 0.369 Na
0.333 0.667 0.855 Na
0.012 0.506 0.181 In
0.322 0.161 0.680 In
0.494 0.506 0.181 In
0.494 0.988 0.181 In
0.667 0.333 0.430 In
0.667 0.333 0.929 In
0.839 0.161 0.680 In
0.839 0.678 0.680 In
0.333 0.667 0.502 Hg
```

Most intense lines, 2θ = 10–90°, in order of falling intensity:
2theta, Rel. int.
34.1, 100.0
33.8, 83.1
31.8, 48.4
37.7, 39.7
18.6, 33.8
16.3, 33.4
58.7, 31.5
57.7, 26.1
53.8, 21.9
36.5, 21.2

[3]
Computed powder diffractogram
Compound: Na2In4Hg
Radiation: Cu Kα (weighted mean of Kα1 and Kα2)
Structure: a cell relaxed with PBE
Intensities are scaled so that the largest is 100.

Structural model:
```
Na2In4Hg
1.0
0.000 5.500 6.182
3.002 0.000 6.182
3.002 5.500 0.000
Na In Hg
2 4 1
Direct
0.144 0.144 0.856 Na
0.856 0.856 0.144 Na
0.000 0.000 0.500 In
0.250 0.250 0.250 In
0.500 0.500 0.000 In
0.750 0.750 0.750 In
0.500 0.500 0.500 Hg
```

Most intense lines, 2θ = 10–90°, in order of falling intensity:
2theta, Rel. int.
34.0, 100.0
45.2, 68.3
28.9, 58.2
32.6, 56.2
18.3, 49.4
27.5, 40.5
44.1, 36.8
16.1, 30.2
33.2, 27.4
14.3, 26.2

[4]
Computed powder diffractogram
Compound: Na2In12Hg7
Radiation: Cu Kα (weighted mean of Kα1 and Kα2)
Structure: a cell relaxed with PBE
Intensities are scaled so that the largest is 100.

Structural model:
```
Na2In12Hg7
1.0
13.646 0.000 0.000
-6.823 11.818 0.000
0.000 0.000 3.476
Na In Hg
2 12 7
Direct
0.333 0.667 0.236 Na
0.667 0.333 0.764 Na
0.096 0.670 0.753 In
0.099 0.252 0.232 In
0.153 0.901 0.232 In
0.252 0.153 0.768 In
0.330 0.427 0.753 In
0.427 0.096 0.247 In
0.573 0.904 0.753 In
0.670 0.573 0.247 In
0.748 0.847 0.232 In
0.847 0.099 0.768 In
0.901 0.748 0.768 In
0.904 0.330 0.247 In
0.000 0.000 0.500 Hg
0.126 0.470 0.731 Hg
0.343 0.874 0.731 Hg
0.470 0.343 0.269 Hg
0.530 0.657 0.731 Hg
0.657 0.126 0.269 Hg
0.874 0.530 0.269 Hg
```

Most intense lines, 2θ = 10–90°, in order of falling intensity:
2theta, Rel. int.
32.6, 100.0
34.8, 59.3
33.0, 35.4
40.1, 27.4
26.7, 26.0
19.9, 23.9
50.4, 12.6
48.4, 12.1
62.7, 11.4
30.3, 10.8

[5]
Computed powder diffractogram
Compound: NaIn2Hg9
Radiation: Cu Kα (weighted mean of Kα1 and Kα2)
Structure: a cell relaxed with PBE
Intensities are scaled so that the largest is 100.

Structural model:
```
NaIn2Hg9
1.0
4.917 0.000 0.000
0.000 4.917 0.000
0.000 0.000 13.120
Na In Hg
1 2 9
Direct
0.000 0.000 0.000 Na
0.000 0.000 0.334 In
0.000 0.000 0.666 In
0.000 0.500 0.167 Hg
0.000 0.500 0.500 Hg
0.000 0.500 0.833 Hg
0.500 0.000 0.167 Hg
0.500 0.000 0.500 Hg
0.500 0.000 0.833 Hg
0.500 0.500 0.000 Hg
0.500 0.500 0.335 Hg
0.500 0.500 0.665 Hg
```

Most intense lines, 2θ = 10–90°, in order of falling intensity:
2theta, Rel. int.
32.9, 100.0
36.5, 37.9
63.5, 30.7
56.3, 21.9
41.3, 13.5
52.6, 13.4
69.0, 12.0
70.0, 11.5
87.0, 6.8
89.0, 6.6

[6]
Computed powder diffractogram
Compound: NaIn6Hg6
Radiation: Cu Kα (weighted mean of Kα1 and Kα2)
Structure: a cell relaxed with PBE
Intensities are scaled so that the largest is 100.

Structural model:
```
NaIn6Hg6
1.0
6.380 0.000 0.000
2.684 7.583 0.000
2.689 1.120 7.507
Na In Hg
1 6 6
Direct
0.000 0.000 0.000 Na
0.000 0.000 0.500 In
0.000 0.500 0.000 In
0.497 0.737 0.263 In
0.500 0.000 0.500 In
0.500 0.500 0.000 In
0.503 0.263 0.737 In
0.004 0.344 0.656 Hg
0.316 0.677 0.678 Hg
0.332 0.150 0.149 Hg
0.668 0.850 0.851 Hg
0.684 0.323 0.322 Hg
0.996 0.656 0.344 Hg
```

Most intense lines, 2θ = 10–90°, in order of falling intensity:
2theta, Rel. int.
36.0, 100.0
36.1, 80.2
28.1, 75.0
39.6, 68.0
31.8, 56.1
26.1, 55.2
38.1, 50.8
33.5, 50.7
33.6, 46.0
28.2, 43.3